Structure and computed XRD peak list of Ta4AgS8 (a DFT-relaxed cell (PBE, the Materials Project); CuKα).

Cell and atoms:
```
Ta4AgS8
1.0
5.807 0.000 0.000
0.023 6.731 0.000
0.978 1.685 13.492
Ta Ag S
8 2 16
direct
0.210 0.067 0.226 Ta
0.210 0.570 0.226 Ta
0.285 0.681 0.775 Ta
0.286 0.182 0.774 Ta
0.714 0.818 0.226 Ta
0.715 0.319 0.225 Ta
0.790 0.430 0.774 Ta
0.790 0.933 0.774 Ta
0.331 0.243 0.524 Ag
0.669 0.757 0.476 Ag
0.103 0.402 0.889 S
0.103 0.904 0.889 S
0.138 0.465 0.657 S
0.138 0.956 0.657 S
0.354 0.789 0.342 S
0.361 0.290 0.342 S
0.398 0.347 0.114 S
0.400 0.847 0.112 S
0.600 0.153 0.888 S
0.602 0.653 0.886 S
0.639 0.710 0.658 S
0.646 0.211 0.658 S
0.862 0.044 0.343 S
0.862 0.535 0.343 S
0.897 0.096 0.111 S
0.897 0.598 0.111 S
```

The 10 most intense peaks (10° ≤ 2θ ≤ 90°), sorted by position:
2θ 13.12, intensity 1000; 2θ 30.78, intensity 344; 2θ 30.87, intensity 169; 2θ 32.68, intensity 157; 2θ 34.48, intensity 215; 2θ 35.57, intensity 226; 2θ 42.50, intensity 282; 2θ 42.58, intensity 140; 2θ 44.19, intensity 216; 2θ 54.57, intensity 169

---

Structure and computed XRD peak list of Na2Zn3S4 (a DFT-relaxed cell (PBE, the Materials Project); CuKα).

Cell and atoms:
```
Na2Zn3S4
1.0
6.855 0.000 0.000
0.000 14.131 0.000
0.000 0.000 7.766
Na Zn S
8 12 16
direct
0.037 0.101 0.115 Na
0.037 0.399 0.615 Na
0.463 0.601 0.115 Na
0.463 0.899 0.615 Na
0.537 0.101 0.385 Na
0.537 0.399 0.885 Na
0.963 0.601 0.385 Na
0.963 0.899 0.885 Na
0.000 0.000 0.500 Zn
0.000 0.500 0.000 Zn
0.215 0.702 0.842 Zn
0.215 0.798 0.342 Zn
0.285 0.202 0.842 Zn
0.285 0.298 0.342 Zn
0.500 0.000 0.000 Zn
0.500 0.500 0.500 Zn
0.715 0.702 0.658 Zn
0.715 0.798 0.158 Zn
0.785 0.202 0.658 Zn
0.785 0.298 0.158 Zn
0.036 0.731 0.116 S
0.036 0.769 0.616 S
0.246 0.535 0.834 S
0.246 0.965 0.334 S
0.254 0.035 0.834 S
0.254 0.465 0.334 S
0.464 0.231 0.116 S
0.464 0.269 0.616 S
0.536 0.731 0.384 S
0.536 0.769 0.884 S
0.746 0.535 0.666 S
0.746 0.965 0.166 S
0.754 0.035 0.666 S
0.754 0.465 0.166 S
0.964 0.231 0.384 S
0.964 0.269 0.884 S
```

The 10 most intense peaks (10° ≤ 2θ ≤ 90°), sorted by position:
2θ 18.37, intensity 543; 2θ 21.38, intensity 629; 2θ 25.21, intensity 755; 2θ 26.38, intensity 1000; 2θ 31.21, intensity 764; 2θ 34.92, intensity 519; 2θ 36.27, intensity 754; 2θ 46.09, intensity 434; 2θ 48.33, intensity 389; 2θ 54.33, intensity 424

---

Structure and computed XRD peak list of Y2Al3Fe (a DFT-relaxed cell (PBE, the Materials Project); CuKα).

Cell and atoms:
```
Y2Al3Fe
1.0
2.749 1.587 4.387
-2.749 1.587 4.387
0.000 -3.174 4.387
Y Al Fe
2 3 1
direct
0.126 0.126 0.126 Y
0.874 0.874 0.874 Y
0.000 0.500 0.500 Al
0.500 0.000 0.500 Al
0.500 0.500 0.000 Al
0.500 0.500 0.500 Fe
```

The 10 most intense peaks (10° ≤ 2θ ≤ 90°), sorted by position:
2θ 20.24, intensity 219; 2θ 32.58, intensity 787; 2θ 33.10, intensity 367; 2θ 38.43, intensity 243; 2θ 38.66, intensity 1000; 2θ 39.10, intensity 460; 2θ 62.21, intensity 233; 2θ 62.53, intensity 218; 2θ 68.24, intensity 194; 2θ 69.45, intensity 184

---

Structure and computed XRD peak list of Nb3Ru (a DFT-relaxed cell (PBE, the Materials Project); CuKα).

Cell and atoms:
```
Nb3Ru
1.0
6.481 0.000 0.000
0.000 6.481 0.000
0.000 0.000 6.481
Nb Ru
12 4
direct
0.000 0.000 0.000 Nb
0.000 0.500 0.500 Nb
0.250 0.250 0.250 Nb
0.250 0.250 0.750 Nb
0.250 0.750 0.250 Nb
0.250 0.750 0.750 Nb
0.500 0.000 0.500 Nb
0.500 0.500 0.000 Nb
0.750 0.250 0.250 Nb
0.750 0.250 0.750 Nb
0.750 0.750 0.250 Nb
0.750 0.750 0.750 Nb
0.000 0.000 0.500 Ru
0.000 0.500 0.000 Ru
0.500 0.000 0.000 Ru
0.500 0.500 0.500 Ru
```

The 4 most intense peaks (10° ≤ 2θ ≤ 90°), sorted by position:
2θ 39.32, intensity 1000; 2θ 56.82, intensity 166; 2θ 71.29, intensity 330; 2θ 84.58, intensity 104

---

Structure and computed XRD peak list of EuAg3 (a DFT-relaxed cell (PBE, the Materials Project); CuKα).

Cell and atoms:
```
EuAg3
1.0
5.013 0.000 0.000
0.000 5.013 0.000
0.000 0.000 7.452
Eu Ag
2 6
direct
0.000 0.000 0.000 Eu
0.500 0.500 0.500 Eu
0.000 0.000 0.500 Ag
0.000 0.500 0.250 Ag
0.000 0.500 0.750 Ag
0.500 0.000 0.250 Ag
0.500 0.000 0.750 Ag
0.500 0.500 0.000 Ag
```

The 10 most intense peaks (10° ≤ 2θ ≤ 90°), sorted by position:
2θ 34.94, intensity 1000; 2θ 35.83, intensity 466; 2θ 48.89, intensity 94; 2θ 51.57, intensity 159; 2θ 62.08, intensity 178; 2θ 63.81, intensity 327; 2θ 73.79, intensity 106; 2θ 82.25, intensity 80; 2θ 86.39, intensity 72; 2θ 86.91, intensity 71

---

Structure and computed XRD peak list of BiB5 (a DFT-relaxed cell (PBE, the Materials Project); CuKα).

Cell and atoms:
```
BiB5
1.0
10.680 0.000 0.000
-0.758 11.705 0.000
-4.753 -1.106 14.137
Bi B
4 20
direct
0.070 0.416 0.394 Bi
0.142 0.377 0.102 Bi
0.858 0.623 0.898 Bi
0.930 0.584 0.606 Bi
0.120 0.244 0.318 B
0.169 0.251 0.224 B
0.246 0.282 0.420 B
0.252 0.504 0.351 B
0.274 0.217 0.325 B
0.277 0.464 0.250 B
0.316 0.416 0.438 B
0.319 0.328 0.272 B
0.386 0.438 0.353 B
0.389 0.312 0.399 B
0.611 0.688 0.601 B
0.614 0.562 0.647 B
0.681 0.672 0.728 B
0.684 0.584 0.562 B
0.723 0.536 0.750 B
0.726 0.783 0.675 B
0.748 0.496 0.649 B
0.754 0.718 0.580 B
0.831 0.749 0.776 B
0.880 0.756 0.682 B
```

The 10 most intense peaks (10° ≤ 2θ ≤ 90°), sorted by position:
2θ 12.08, intensity 1000; 2θ 12.31, intensity 300; 2θ 13.80, intensity 384; 2θ 15.97, intensity 280; 2θ 18.21, intensity 236; 2θ 19.76, intensity 247; 2θ 21.22, intensity 325; 2θ 22.59, intensity 277; 2θ 23.80, intensity 227; 2θ 25.20, intensity 281